Np5TaN6: theoretical powder XRD pattern (λ = 1.5418 Å (Cu Kα)), based on a cell relaxed with PBE.
Peak positions follow from Bragg's law for the DFT cell and can differ from measured ones.

Most intense lines, 10 to 90 degrees two-theta, by angle:
(hkl)	2θ (°)	intensity
2 0 0	32.41	34
0 0 2	32.50	100
1 3 1	37.68	86
3 3 -1	54.35	40
3 3 1	64.67	25
2 6 0	64.81	35

Structural model:
```
data_Np5TaN6
_chemical_formula_sum 'Np10 Ta2 N12'
_symmetry_space_group_name_H-M 'C 1 2/m 1'
_symmetry_Int_Tables_number 12
_cell_length_a 5.854
_cell_length_b 10.113
_cell_length_c 5.846
_cell_angle_alpha 90.00
_cell_angle_beta 109.31
_cell_angle_gamma 90.00
loop_
_symmetry_equiv_pos_as_xyz
'x,y,z'
'-x,-y,-z'
'-x,y,-z'
'x,-y,z'
'x+1/2,y+1/2,z'
'-x+1/2,-y+1/2,-z'
'-x+1/2,y+1/2,-z'
'x+1/2,-y+1/2,z'
loop_
_atom_site_label
_atom_site_fract_x
_atom_site_fract_y
_atom_site_fract_z
_atom_site_occupancy
Np1 0.000 0.000 0.000 1
Np2 0.000 0.166 0.500 1
Np3 0.000 0.332 0.000 1
Ta1 0.000 0.500 0.500 1
N1 0.234 0.500 0.259 1
N2 0.235 0.342 0.734 1
```

---

La4Ti5Te3O24: theoretical powder XRD pattern (λ = 1.5418 Å (Cu Kα)), based on a cell relaxed with PBE.
Peak positions follow from Bragg's law for the DFT cell and can differ from measured ones.

Most intense lines, 10 to 90 degrees two-theta, by angle:
(hkl)	2θ (°)	intensity
0 2 0	25.73	55
1 1 -3	26.23	100
-1 1 3	33.55	16
1 -1 3	34.16	27
1 3 1	48.58	11
4 0 -2	49.89	19

Structural model:
```
data_La4Ti5Te3O24
_chemical_formula_sum 'La4 Ti5 Te3 O24'
_symmetry_space_group_name_H-M 'P 1'
_symmetry_Int_Tables_number 1
_cell_length_a 7.309
_cell_length_b 7.406
_cell_length_c 10.455
_cell_angle_alpha 108.82
_cell_angle_beta 110.15
_cell_angle_gamma 91.19
loop_
_symmetry_equiv_pos_as_xyz
'x,y,z'
loop_
_atom_site_label
_atom_site_fract_x
_atom_site_fract_y
_atom_site_fract_z
_atom_site_occupancy
La1 0.000 0.000 0.000 1
La2 0.013 0.483 0.500 1
La3 0.439 0.030 0.476 1
La4 0.456 0.512 0.967 1
Ti1 0.047 0.589 0.137 1
Ti2 0.065 0.047 0.653 1
Ti3 0.411 0.943 0.837 1
Ti4 0.562 0.105 0.152 1
Ti5 0.564 0.623 0.668 1
Te1 0.406 0.448 0.326 1
Te2 0.876 0.916 0.317 1
Te3 0.894 0.401 0.802 1
O1 0.030 0.649 0.959 1
O2 0.045 0.143 0.481 1
O3 0.129 0.478 0.297 1
O4 0.137 0.970 0.818 1
O5 0.138 0.851 0.258 1
O6 0.139 0.350 0.773 1
O7 0.315 0.182 0.186 1
O8 0.330 0.655 0.702 1
O9 0.341 0.040 0.680 1
O10 0.356 0.553 0.173 1
O11 0.415 0.361 0.485 1
O12 0.446 0.861 0.009 1
O13 0.507 0.696 0.489 1
O14 0.523 0.189 0.990 1
O15 0.614 0.005 0.319 1
O16 0.628 0.453 0.793 1
O17 0.660 0.388 0.320 1
O18 0.665 0.865 0.813 1
O19 0.796 0.601 0.122 1
O20 0.799 0.141 0.659 1
O21 0.829 0.533 0.661 1
O22 0.835 0.072 0.183 1
O23 0.956 0.313 0.965 1
O24 0.956 0.810 0.513 1
```